Starting from a crystal structure in OQMD, relaxed with GGA-PBE, the powder diffractogram of PmBeAg was simulated for Cu Ka.

The 8 most intense peaks (5 to 70 degrees two-theta), sorted by position:
- hkl 1 1 1, 22.85 deg, intensity 100
- hkl 2 0 0, 26.45 deg, intensity 1
- hkl 2 2 0, 37.75 deg, intensity 88
- hkl 3 1 1, 44.59 deg, intensity 51
- hkl 4 0 0, 54.45 deg, intensity 15
- hkl 3 3 1, 59.81 deg, intensity 21
- hkl 4 2 0, 61.53 deg, intensity 1
- hkl 4 2 2, 68.16 deg, intensity 30

Cell and atoms:
Cell lengths 6.740, 6.740, 6.740 Å; angles 90.00, 90.00, 90.00 degrees
Sites, in units of the cell vectors:
1 Pm 0.000 0.000 0.000
2 Pm 0.000 0.500 0.500
3 Pm 0.500 0.000 0.500
4 Pm 0.500 0.500 0.000
5 Be 0.250 0.250 0.250
6 Be 0.250 0.750 0.750
7 Be 0.750 0.250 0.750
8 Be 0.750 0.750 0.250
9 Ag 0.250 0.250 0.750
10 Ag 0.250 0.750 0.250
11 Ag 0.750 0.250 0.250
12 Ag 0.750 0.750 0.750

Starting from a crystal structure in OQMD, relaxed with GGA-PBE, the powder diffractogram of PaNi2 was simulated for Cu Ka.

The 10 most intense peaks (5 to 70 degrees two-theta), sorted by position:
- hkl 1 1 0, 25.20 deg, intensity 100
- hkl 1 0 1, 26.02 deg, intensity 67
- hkl 1 1 1, 31.67 deg, intensity 16
- hkl 2 0 0, 35.94 deg, intensity 16
- hkl 0 0 2, 38.28 deg, intensity 32
- hkl 2 1 1, 44.91 deg, intensity 86
- hkl 1 1 2, 46.38 deg, intensity 40
- hkl 2 2 0, 51.74 deg, intensity 14
- hkl 3 0 1, 58.81 deg, intensity 36
- hkl 2 2 2, 66.16 deg, intensity 13

Cell and atoms:
Cell lengths 4.997, 4.997, 4.703 Å; angles 90.00, 90.00, 90.00 degrees
Sites, in units of the cell vectors:
1 Pa 0.000 0.000 0.000
2 Pa 0.500 0.500 0.500
3 Ni 0.164 0.164 0.500
4 Ni 0.336 0.664 0.000
5 Ni 0.664 0.336 0.000
6 Ni 0.836 0.836 0.500

Starting from a crystal structure in OQMD, relaxed with GGA-PBE, the powder diffractogram of Nb2CoIrPb2 was simulated for Cu Ka.

The 10 most intense peaks (5 to 70 degrees two-theta), sorted by position:
- hkl 1 1 1, 24.86 deg, intensity 45
- hkl 2 0 2, 28.71 deg, intensity 9
- hkl 1 1 -3, 28.82 deg, intensity 18
- hkl 3 1 -1, 41.15 deg, intensity 100
- hkl 0 2 0, 41.23 deg, intensity 20
- hkl 4 0 0, 48.59 deg, intensity 7
- hkl 2 2 -2, 48.73 deg, intensity 15
- hkl 2 2 2, 51.00 deg, intensity 7
- hkl 4 0 4, 59.46 deg, intensity 6
- hkl 2 2 -6, 59.70 deg, intensity 13

Cell and atoms:
Cell lengths 7.605, 4.379, 14.548 Å; angles 90.00, 99.84, 90.00 degrees
Sites, in units of the cell vectors:
1 Nb 0.000 0.000 0.000
2 Nb 0.001 0.500 0.499
3 Nb 0.249 0.500 0.248
4 Nb 0.253 0.000 0.758
5 Nb 0.495 0.500 0.001
6 Nb 0.498 0.000 0.500
7 Nb 0.747 0.000 0.249
8 Nb 0.750 0.500 0.759
9 Co 0.312 0.000 0.941
10 Co 0.312 0.500 0.437
11 Co 0.558 0.500 0.186
12 Co 0.811 0.500 0.939
13 Ir 0.061 0.000 0.186
14 Ir 0.066 0.500 0.694
15 Ir 0.562 0.000 0.694
16 Ir 0.811 0.000 0.435
17 Pb 0.127 0.500 0.886
18 Pb 0.139 0.000 0.378
19 Pb 0.372 0.500 0.619
20 Pb 0.385 0.000 0.124
21 Pb 0.608 0.500 0.369
22 Pb 0.627 0.000 0.887
23 Pb 0.858 0.500 0.120
24 Pb 0.874 0.000 0.626

Starting from a crystal structure in OQMD, relaxed with GGA-PBE, the powder diffractogram of TmCoW was simulated for Cu Ka.

The 8 most intense peaks (5 to 70 degrees two-theta), sorted by position:
- hkl 1 1 1, 24.61 deg, intensity 62
- hkl 2 0 0, 28.50 deg, intensity 4
- hkl 2 2 0, 40.74 deg, intensity 100
- hkl 3 1 1, 48.18 deg, intensity 31
- hkl 2 2 2, 50.46 deg, intensity 1
- hkl 4 0 0, 58.98 deg, intensity 17
- hkl 3 3 1, 64.88 deg, intensity 13
- hkl 4 2 0, 66.78 deg, intensity 1

Cell and atoms:
Cell lengths 6.265, 6.265, 6.265 Å; angles 90.00, 90.00, 90.00 degrees
Sites, in units of the cell vectors:
1 Tm 0.000 0.000 0.000
2 Tm 0.000 0.500 0.500
3 Tm 0.500 0.000 0.500
4 Tm 0.500 0.500 0.000
5 Co 0.250 0.250 0.750
6 Co 0.250 0.750 0.250
7 Co 0.750 0.250 0.250
8 Co 0.750 0.750 0.750
9 W 0.250 0.250 0.250
10 W 0.250 0.750 0.750
11 W 0.750 0.250 0.750
12 W 0.750 0.750 0.250

Starting from a crystal structure in OQMD, relaxed with GGA-PBE, the powder diffractogram of AcGeMo was simulated for Cu Ka.

The 9 most intense peaks (5 to 70 degrees two-theta), sorted by position:
- hkl 1 1 1, 22.56 deg, intensity 31
- hkl 2 0 0, 26.11 deg, intensity 48
- hkl 2 2 0, 37.25 deg, intensity 100
- hkl 3 1 1, 43.99 deg, intensity 17
- hkl 2 2 2, 46.06 deg, intensity 14
- hkl 4 0 0, 53.70 deg, intensity 17
- hkl 3 3 1, 58.97 deg, intensity 8
- hkl 4 2 0, 60.66 deg, intensity 19
- hkl 4 2 2, 67.17 deg, intensity 36

Cell and atoms:
Cell lengths 6.827, 6.827, 6.827 Å; angles 90.00, 90.00, 90.00 degrees
Sites, in units of the cell vectors:
1 Ac 0.000 0.000 0.000
2 Ac 0.000 0.500 0.500
3 Ac 0.500 0.000 0.500
4 Ac 0.500 0.500 0.000
5 Ge 0.250 0.250 0.250
6 Ge 0.250 0.750 0.750
7 Ge 0.750 0.250 0.750
8 Ge 0.750 0.750 0.250
9 Mo 0.000 0.000 0.500
10 Mo 0.000 0.500 0.000
11 Mo 0.500 0.000 0.000
12 Mo 0.500 0.500 0.500

Starting from a crystal structure in OQMD, relaxed with GGA-PBE, the powder diffractogram of Sr2LiCoN2 was simulated for Cu Ka.

The 10 most intense peaks (5 to 70 degrees two-theta), sorted by position:
- hkl 1 0 1, 20.56 deg, intensity 22
- hkl 1 1 0, 23.49 deg, intensity 25
- hkl 2 0 0, 33.46 deg, intensity 41
- hkl 1 1 2, 34.09 deg, intensity 100
- hkl 2 1 1, 39.59 deg, intensity 7
- hkl 2 0 2, 41.82 deg, intensity 17
- hkl 2 2 0, 48.04 deg, intensity 22
- hkl 0 0 4, 49.92 deg, intensity 10
- hkl 3 1 2, 60.22 deg, intensity 37
- hkl 2 0 4, 61.43 deg, intensity 15

Cell and atoms:
Cell lengths 5.356, 5.356, 7.308 Å; angles 90.00, 90.00, 90.00 degrees
Sites, in units of the cell vectors:
1 Sr 0.000 0.500 0.250
2 Sr 0.000 0.500 0.750
3 Sr 0.500 0.000 0.250
4 Sr 0.500 0.000 0.750
5 Li 0.000 0.000 0.000
6 Li 0.500 0.500 0.500
7 Co 0.000 0.000 0.500
8 Co 0.500 0.500 0.000
9 N 0.237 0.237 0.500
10 N 0.263 0.737 0.000
11 N 0.737 0.263 0.000
12 N 0.763 0.763 0.500

Please write out number 6 again, unchanged.
Starting from a crystal structure in OQMD, relaxed with GGA-PBE, the powder diffractogram of Sr2LiCoN2 was simulated for Cu Ka.

The 10 most intense peaks (5 to 70 degrees two-theta), sorted by position:
- hkl 1 0 1, 20.56 deg, intensity 22
- hkl 1 1 0, 23.49 deg, intensity 25
- hkl 2 0 0, 33.46 deg, intensity 41
- hkl 1 1 2, 34.09 deg, intensity 100
- hkl 2 1 1, 39.59 deg, intensity 7
- hkl 2 0 2, 41.82 deg, intensity 17
- hkl 2 2 0, 48.04 deg, intensity 22
- hkl 0 0 4, 49.92 deg, intensity 10
- hkl 3 1 2, 60.22 deg, intensity 37
- hkl 2 0 4, 61.43 deg, intensity 15

Cell and atoms:
Cell lengths 5.356, 5.356, 7.308 Å; angles 90.00, 90.00, 90.00 degrees
Sites, in units of the cell vectors:
1 Sr 0.000 0.500 0.250
2 Sr 0.000 0.500 0.750
3 Sr 0.500 0.000 0.250
4 Sr 0.500 0.000 0.750
5 Li 0.000 0.000 0.000
6 Li 0.500 0.500 0.500
7 Co 0.000 0.000 0.500
8 Co 0.500 0.500 0.000
9 N 0.237 0.237 0.500
10 N 0.263 0.737 0.000
11 N 0.737 0.263 0.000
12 N 0.763 0.763 0.500